The following is a theoretical X-ray powder pattern of H3AuC2NCl. It was derived from a crystal structure in Alexandria, relaxed with PBE, using a wavelength of 1.5418 Å.

```
data_H3AuC2NCl
_cell_length_a 4.7739
_cell_length_b 6.5039
_cell_length_c 8.9066
_cell_angle_alpha 90.00
_cell_angle_beta 94.73
_cell_angle_gamma 90.00
_space_group_name_H-M_alt 'P 1 21/m 1'
_space_group_IT_number 11
loop_
_space_group_symop_operation_xyz
'x,y,z'
'-x,-y,-z'
'-x,y+1/2,-z'
'x,-y+1/2,z'
loop_
_atom_site_label
_atom_site_fract_x
_atom_site_fract_y
_atom_site_fract_z
H1 0.0935 0.2500 0.4610
H2 0.1977 0.6114 0.6323
Au1 0.3465 0.2500 0.9267
C1 0.0657 0.7500 0.6355
C2 0.1786 0.2500 0.1168
N1 0.0693 0.2500 0.2291
Cl1 0.4799 0.7500 0.3053
```

The 10 most intense peaks (2θ = 5–70°), low angle first:
two_theta	I/Imax	h k l
9.96	100	0 0 1
16.90	19	0 1 1
20.44	19	1 0 -1
23.16	35	1 1 0
24.28	19	0 1 2
25.89	69	1 1 1
27.43	31	0 2 0
29.25	19	0 2 1
33.27	15	0 1 3
34.40	21	1 0 -3